Diffraction record for Nd8Ni2Os. The powder diffractogram is calculated, not measured: it uses a DFT-relaxed cell (GGA-PBE, Alexandria) and copper Kα.
Neutral-atom scattering factors, no anomalous dispersion.

Principal peaks in the range 10° ≤ 2θ ≤ 90°, sorted by position:
d/Å  2θ/deg  intensity
3.137  28.45  47
2.948  30.31  100
2.860  31.27  60
2.799  31.97  48
2.735  32.74  68
2.727  32.84  53
2.686  33.36  42
2.484  36.16  38
2.463  36.48  37
2.325  38.73  48

Cell and atoms:
```
data_Nd8Ni2Os
_chemical_formula_sum 'Nd16 Ni4 Os2'
_space_group_name_H-M_alt 'C 1 m 1'
_space_group_IT_number 8
_cell_length_a 8.431
_cell_length_b 12.633
_cell_length_c 6.480
_cell_angle_alpha 90.00
_cell_angle_beta 111.08
_cell_angle_gamma 90.00
loop_
_space_group_symop_operation_xyz
'x,y,z'
'x,-y,z'
'x+1/2,y+1/2,z'
'x+1/2,-y+1/2,z'
loop_
_atom_site_label
_atom_site_type_symbol
_atom_site_fract_x
_atom_site_fract_y
_atom_site_fract_z
Nd1 Nd 0.000 0.000 0.000
Nd2 Nd 0.073 0.365 0.795
Nd3 Nd 0.140 0.135 0.557
Nd4 Nd 0.210 0.500 0.384
Nd5 Nd 0.350 0.196 0.182
Ni1 Ni 0.362 0.315 0.692
Os1 Os 0.358 0.000 0.397
```

***

Diffraction record for Nd2Ni12P5. The powder diffractogram is calculated, not measured: it uses a DFT-relaxed cell (GGA-PBE, Alexandria) and copper Kα.
Neutral-atom scattering factors, no anomalous dispersion.

Principal peaks in the range 10° ≤ 2θ ≤ 90°, sorted by position:
d/Å  2θ/deg  intensity
3.174  28.12  13
2.782  32.18  14
2.763  32.40  16
2.581  34.76  20
2.514  35.72  39
2.385  37.72  100
2.364  38.07  11
2.177  41.48  12
2.114  42.78  44
1.840  49.53  42

Cell and atoms:
```
data_Nd2Ni12P5
_chemical_formula_sum 'Nd4 Ni24 P10'
_space_group_name_H-M_alt 'P 1 21/m 1'
_space_group_IT_number 11
_cell_length_a 10.859
_cell_length_b 3.680
_cell_length_c 13.146
_cell_angle_alpha 90.00
_cell_angle_beta 108.05
_cell_angle_gamma 90.00
loop_
_space_group_symop_operation_xyz
'x,y,z'
'-x,-y,-z'
'-x,y+1/2,-z'
'x,-y+1/2,z'
loop_
_atom_site_label
_atom_site_type_symbol
_atom_site_fract_x
_atom_site_fract_y
_atom_site_fract_z
Nd1 Nd 0.220 0.250 0.183
Nd2 Nd 0.255 0.250 0.688
Ni1 Ni 0.061 0.750 0.296
Ni2 Ni 0.078 0.750 0.990
Ni3 Ni 0.082 0.750 0.492
Ni4 Ni 0.097 0.750 0.804
Ni5 Ni 0.201 0.250 0.419
Ni6 Ni 0.213 0.250 0.938
Ni7 Ni 0.341 0.750 0.062
Ni8 Ni 0.341 0.750 0.364
Ni9 Ni 0.429 0.250 0.515
Ni10 Ni 0.435 0.250 0.947
Ni11 Ni 0.490 0.750 0.651
Ni12 Ni 0.495 0.750 0.841
P1 P 0.006 0.250 0.879
P2 P 0.009 0.750 0.629
P3 P 0.300 0.750 0.517
P4 P 0.313 0.750 0.888
P5 P 0.450 0.750 0.241
```

***

Diffraction record for NdNi2P2. The powder diffractogram is calculated, not measured: it uses a DFT-relaxed cell (GGA-PBE, Alexandria) and copper Kα.
Neutral-atom scattering factors, no anomalous dispersion.

Principal peaks in the range 10° ≤ 2θ ≤ 90°, sorted by position:
d/Å  2θ/deg  intensity
3.656  24.34  40
2.477  36.27  52
2.414  37.25  100
2.381  37.79  15
1.980  45.83  41
1.716  53.38  16
1.546  59.80  24
1.522  60.85  14
1.381  67.88  17
1.211  79.08  21

Cell and atoms:
```
data_NdNi2P2
_chemical_formula_sum 'Nd2 Ni4 P4'
_space_group_name_H-M_alt 'I 4/m m m'
_space_group_IT_number 139
_space_group_name_Hall '-I 4 2'
_cell_length_a 3.960
_cell_length_b 3.960
_cell_length_c 9.523
_cell_angle_alpha 90.00
_cell_angle_beta 90.00
_cell_angle_gamma 90.00
loop_
_atom_site_label
_atom_site_type_symbol
_atom_site_fract_x
_atom_site_fract_y
_atom_site_fract_z
Nd1 Nd 0.000 0.000 0.000
Ni1 Ni 0.000 0.500 0.250
P1 P 0.000 0.000 0.372
```

***

Diffraction record for NdNi5P3. The powder diffractogram is calculated, not measured: it uses a DFT-relaxed cell (GGA-PBE, Alexandria) and copper Kα.
Neutral-atom scattering factors, no anomalous dispersion.

Principal peaks in the range 10° ≤ 2θ ≤ 90°, sorted by position:
d/Å  2θ/deg  intensity
3.200  27.88  44
2.828  31.64  31
2.648  33.86  57
2.563  35.01  100
2.404  37.41  67
2.320  38.81  27
2.207  40.89  69
1.961  46.31  30
1.806  50.52  53
1.551  59.62  27

Cell and atoms:
```
data_NdNi5P3
_chemical_formula_sum 'Nd4 Ni20 P12'
_space_group_name_H-M_alt 'C m c m'
_space_group_IT_number 63
_space_group_name_Hall '-C 2c 2'
_cell_length_a 3.613
_cell_length_b 11.671
_cell_length_c 11.481
_cell_angle_alpha 90.00
_cell_angle_beta 90.00
_cell_angle_gamma 90.00
loop_
_atom_site_label
_atom_site_type_symbol
_atom_site_fract_x
_atom_site_fract_y
_atom_site_fract_z
Nd1 Nd 0.000 0.160 0.250
Ni1 Ni 0.000 0.000 0.000
Ni2 Ni 0.000 0.200 0.570
Ni3 Ni 0.000 0.449 0.145
P1 P 0.000 0.117 0.750
P2 P 0.000 0.382 0.540
```

***

Diffraction record for NdNiP2Pd2. The powder diffractogram is calculated, not measured: it uses a DFT-relaxed cell (GGA-PBE, Alexandria) and copper Kα.
Neutral-atom scattering factors, no anomalous dispersion.

Principal peaks in the range 10° ≤ 2θ ≤ 90°, sorted by position:
d/Å  2θ/deg  intensity
3.299  27.03  40
3.013  29.65  17
2.673  33.52  100
2.067  43.79  34
1.758  52.03  40
1.752  52.22  25
1.462  63.65  11
1.289  73.44  11
1.283  73.89  19
1.124  86.62  19

Cell and atoms:
```
data_NdNiP2Pd2
_chemical_formula_sum 'Nd2 Ni2 P4 Pd4'
_space_group_name_H-M_alt 'I 4/m m m'
_space_group_IT_number 139
_space_group_name_Hall '-I 4 2'
_cell_length_a 4.135
_cell_length_b 4.135
_cell_length_c 13.195
_cell_angle_alpha 90.00
_cell_angle_beta 90.00
_cell_angle_gamma 90.00
loop_
_atom_site_label
_atom_site_type_symbol
_atom_site_fract_x
_atom_site_fract_y
_atom_site_fract_z
Nd1 Nd 0.000 0.000 0.000
Ni1 Ni 0.000 0.000 0.500
P1 P 0.000 0.000 0.344
Pd1 Pd 0.000 0.500 0.250
```

***

Q: Number 5 is which compound?
A: NdNiP2Pd2

***

Q: Number 5 is which compound?
A: NdNiP2Pd2